Record 1
This entry pairs a crystal structure of KNd2CuS4 with its theoretical powder diffraction line list. Radiation: Cu Kα (weighted mean of Kα1 and Kα2). Structure: a crystal structure in the Materials Project, relaxed with GGA-PBE.
Neutral-atom scattering factors, no anomalous dispersion.

Main lines, low angle first (5 to 70 degrees two-theta):
d (Å)  2θ/deg  Rel. int.
7.002  12.64  37
6.241  14.19  88
3.885  22.89  56
3.483  25.57  35
3.416  26.09  36
2.996  29.82  74
2.807  31.88  100
2.604  34.44  46
2.064  43.86  61
2.037  44.49  30

Crystal structure
```
16
Lattice="2.037 -6.967 0.000 2.037 6.967 0.000 0.000 0.000 14.039" Properties=species:S:1:pos:R:3 pbc="T T T"
K 2.037 5.467 10.529
K 2.037 -5.467 3.510
Nd 2.037 1.876 7.897
Nd 2.037 1.876 13.161
Nd 2.037 -1.876 0.878
Nd 2.037 -1.876 6.142
Cu 2.037 4.704 3.510
Cu 2.037 -4.704 10.529
S 0.000 0.000 0.000
S 0.000 0.000 7.019
S 2.037 3.306 1.616
S 2.037 3.306 5.403
S 2.037 0.976 10.529
S 2.037 -0.976 3.510
S 2.037 -3.306 8.635
S 2.037 -3.306 12.423
```

***

Record 2
This entry pairs a crystal structure of KPrTe2 with its theoretical powder diffraction line list. Radiation: Cu Kα (weighted mean of Kα1 and Kα2). Structure: a crystal structure in the Materials Project, relaxed with GGA-PBE.
Neutral-atom scattering factors, no anomalous dispersion.

Main lines, low angle first (5 to 70 degrees two-theta):
d (Å)  2θ/deg  Rel. int.
8.266  10.70  34
3.380  26.37  100
2.661  33.68  14
2.457  36.57  36
2.328  38.69  37
1.917  47.43  20
1.690  54.29  11
1.545  59.85  13
1.480  62.80  17
1.367  68.63  11

Crystal structure
```
4
Lattice="2.328 1.344 8.266 -2.328 1.344 8.266 0.000 -2.688 8.266" Properties=species:S:1:pos:R:3 pbc="T T T"
K 0.000 0.000 0.000
Pr 0.000 0.000 12.398
Te 0.000 0.000 5.916
Te 0.000 0.000 18.881
```

***

Record 3
This entry pairs a crystal structure of Mg14ZnNi with its theoretical powder diffraction line list. Radiation: Cu Kα (weighted mean of Kα1 and Kα2). Structure: a crystal structure in the Materials Project, relaxed with GGA-PBE.
Neutral-atom scattering factors, no anomalous dispersion.

Main lines, low angle first (5 to 70 degrees two-theta):
d (Å)  2θ/deg  Rel. int.
5.421  16.35  19
3.634  24.49  10
2.710  33.05  27
2.637  33.99  5
2.449  36.70  24
2.371  37.94  100
1.890  48.14  6
1.817  50.21  16
1.565  59.03  18
1.399  66.90  17

Crystal structure
```
16
Lattice="6.259 0.000 0.000 -3.130 5.421 0.000 0.000 0.000 9.796" Properties=species:S:1:pos:R:3 pbc="T T T"
Mg 0.000 0.000 2.434
Mg 0.000 0.000 7.362
Mg -1.497 2.750 2.495
Mg -1.497 2.750 7.301
Mg 1.553 0.897 4.898
Mg 1.564 0.903 0.000
Mg 1.497 2.750 2.495
Mg 1.497 2.750 7.301
Mg 0.000 5.342 2.495
Mg 0.000 5.342 7.301
Mg 4.695 0.903 0.000
Mg 3.130 3.615 0.000
Mg 4.706 0.897 4.898
Mg 3.130 3.627 4.898
Zn 0.000 3.614 0.000
Ni 0.000 3.614 4.898
```